1.
Starting from the GGA-PBE geometry in Alexandria, the PXRD pattern of Sr2TaAlCu2O7 was computed for λ = 1.5418 Å (Cu Kα).
Lines closer than 0.1° are merged.

Structure:
```
Sr2TaAlCu2O7
1.0
5.425 0.000 0.000
-0.591 5.969 0.000
-2.382 -2.821 11.420
Sr Ta Al Cu O
4 2 2 4 14
direct
0.000 0.000 0.000
0.214 0.213 0.436
0.550 0.429 0.987
0.768 0.636 0.451
0.198 0.660 0.218
0.621 0.986 0.218
0.430 0.483 0.710
0.883 0.939 0.723
0.320 0.880 0.610
0.450 0.966 0.826
0.858 0.311 0.613
0.969 0.499 0.827
0.063 0.451 0.074
0.122 0.834 0.819
0.138 0.508 0.594
0.200 0.592 0.364
0.246 0.351 0.802
0.514 0.227 0.615
0.526 0.072 0.078
0.564 0.643 0.222
0.609 0.718 0.640
0.656 0.205 0.357
0.677 0.634 0.853
0.772 0.133 0.836
0.973 0.907 0.217
0.992 0.986 0.591
```

Top 6 peaks for 2θ from 5° to 70°, in order of rising 2θ:
2θ/deg, I (rel.)
26.2, 65
26.4, 73
28.3, 57
29.9, 59
33.2, 100
39.5, 55

***

2.
Starting from the GGA-PBE geometry in Alexandria, the PXRD pattern of Sr2TiAlCu2O7 was computed for λ = 1.5418 Å (Cu Kα).
Lines closer than 0.1° are merged.

Structure:
```
Sr2TiAlCu2O7
1.0
-11.166 3.069 2.721
11.166 -3.069 2.721
11.166 3.069 -2.721
Sr Ti Al Cu O
4 2 2 4 14
direct
0.057 0.141 0.198
0.057 0.359 0.415
0.943 0.641 0.585
0.943 0.859 0.802
0.388 0.720 0.167
0.553 0.220 0.833
0.062 0.062 0.000
0.062 0.562 0.500
0.497 0.595 0.012
0.497 0.985 0.402
0.582 0.095 0.598
0.582 0.485 0.988
0.014 0.424 0.698
0.014 0.816 0.090
0.120 0.197 0.810
0.120 0.811 0.423
0.262 0.875 0.887
0.387 0.311 0.190
0.387 0.697 0.577
0.484 0.230 0.622
0.484 0.362 0.754
0.608 0.730 0.246
0.608 0.862 0.378
0.726 0.316 0.302
0.726 0.924 0.910
0.988 0.375 0.113
```

Top 6 peaks for 2θ from 5° to 70°, in order of rising 2θ:
2θ/deg, I (rel.)
7.9, 49
27.1, 100
29.1, 65
32.6, 67
32.9, 61
39.1, 72

***

3.
Starting from the GGA-PBE geometry in Alexandria, the PXRD pattern of Sr2YAlCu2O7 was computed for λ = 1.5418 Å (Cu Kα).
Lines closer than 0.1° are merged.

Structure:
```
Sr2YAlCu2O7
1.0
-11.438 2.774 2.699
11.438 -2.774 2.699
11.438 2.774 -2.699
Sr Y Al Cu O
4 2 2 4 14
direct
0.020 0.153 0.174
0.020 0.347 0.367
0.980 0.653 0.633
0.980 0.847 0.826
0.004 0.004 0.000
0.004 0.504 0.500
0.395 0.719 0.175
0.544 0.219 0.825
0.503 0.578 0.072
0.503 0.931 0.426
0.505 0.078 0.574
0.505 0.431 0.928
0.005 0.187 0.693
0.005 0.325 0.810
0.005 0.694 0.180
0.005 0.812 0.318
0.288 0.892 0.896
0.475 0.210 0.627
0.475 0.348 0.766
0.494 0.312 0.307
0.494 0.687 0.682
0.514 0.194 0.190
0.514 0.825 0.820
0.583 0.710 0.234
0.583 0.848 0.373
0.996 0.392 0.104
```

Top 6 peaks for 2θ from 5° to 70°, in order of rising 2θ:
2θ/deg, I (rel.)
7.7, 45
32.3, 28
33.0, 100
33.2, 29
39.2, 28
47.0, 34

***

4.
Starting from the GGA-PBE geometry in Alexandria, the PXRD pattern of AlCuTcO6 was computed for λ = 1.5418 Å (Cu Kα).
Lines closer than 0.1° are merged.

Structure:
```
AlCuTcO6
1.0
4.937 0.000 0.000
-2.469 4.276 0.000
0.000 0.000 8.750
Al Cu Tc O
2 2 2 12
direct
0.333 0.667 0.250
0.667 0.333 0.750
0.000 0.000 0.000
0.000 0.000 0.500
0.333 0.667 0.750
0.667 0.333 0.250
0.002 0.354 0.132
0.002 0.648 0.368
0.352 0.354 0.368
0.352 0.998 0.132
0.354 0.002 0.632
0.354 0.352 0.868
0.646 0.648 0.132
0.646 0.998 0.368
0.648 0.002 0.868
0.648 0.646 0.632
0.998 0.352 0.632
0.998 0.646 0.868
```

Top 6 peaks for 2θ from 5° to 70°, in order of rising 2θ:
2θ/deg, I (rel.)
23.2, 40
29.2, 100
36.4, 34
47.3, 25
56.2, 47
61.1, 23